No. 1
Diffraction record for CoNi6B. The XRD peak list is computed, not measured: it uses the GGA-PBE geometry in Alexandria and Cu Ka.
Kinematic intensities with the Lorentz-polarization factor, no thermal factor.

```
CoNi6B
1.0
4.4760 0.0000 0.0000
-1.8831 4.0711 0.0000
-0.4922 -0.7524 4.4917
Co Ni B
1 6 1
Direct
0.0000 0.0000 0.0000 Co
0.1854 0.6170 0.2325 Ni
0.2463 0.2482 0.5610 Ni
0.3828 0.8161 0.7655 Ni
0.6172 0.1839 0.2345 Ni
0.7537 0.7518 0.4390 Ni
0.8146 0.3830 0.7675 Ni
0.5000 0.5000 0.0000 B
```

Peak list (8 most intense, 2θ from 15° to 90°, in order of falling intensity)
d/Å  I (rel.)  index
1.956  100  0 2 -1
1.942  59  1 1 1
1.928  59  1 -1 2
1.932  45  -1 1 2
1.888  38  2 -2 0
2.222  31  2 -1 0
2.115  30  1 0 -2
1.246  16  -3 2 2

***

No. 2
Diffraction record for TiCo2NiB. The XRD peak list is computed, not measured: it uses the GGA-PBE geometry in Alexandria and Cu Ka.
Kinematic intensities with the Lorentz-polarization factor, no thermal factor.

```
TiCo2NiB
1.0
3.8060 0.0000 0.0000
0.0000 3.8060 0.0000
0.0000 0.0000 3.8114
Ti Co Ni B
1 2 1 1
Direct
0.0000 0.0000 0.0000 Ti
0.0000 0.5000 0.5000 Co
0.5000 0.0000 0.5000 Co
0.5000 0.5000 0.0000 Ni
0.5000 0.5000 0.5000 B
```

Peak list (8 most intense, 2θ from 15° to 90°, in order of falling intensity)
d/Å  I (rel.)  index
2.198  100  1 1 1
1.904  53  2 0 0
1.346  31  2 2 0
1.148  21  3 1 1
1.149  10  1 1 3
1.099  10  2 2 2
3.807  4  1 0 0
1.703  1  2 1 0